For LuZn4FeO7, a DFT-relaxed cell (PBE+U, Alexandria) gives the theoretical PXRD pattern in this record (copper Kα).
Kinematic intensities with the Lorentz-polarization factor, no thermal factor.

Largest 10 diffraction maxima, by angle, 2θ from 15° to 90°:
| (hkl) | 2theta | intensity |
| --- | --- | --- |
| 1 0 0 | 30.69 | 28.8 |
| 1 0 1 | 30.81 | 25.0 |
| 0 0 12 | 32.29 | 32.7 |
| 1 0 6 | 34.79 | 100.0 |
| 1 0 12 | 45.15 | 21.2 |
| 1 1 0 | 54.57 | 39.0 |
| 1 0 18 | 59.21 | 29.7 |
| 1 1 10 | 61.82 | 12.2 |
| 1 1 12 | 64.84 | 25.6 |
| 2 0 6 | 66.36 | 15.5 |

a b c (Å): 3.364 3.364 33.269
angles (deg): 90.00 90.00 120.00
Fractional coordinates of all 26 atoms:
Lu 0.000 0.000 0.000
Lu 0.000 0.000 0.500
Zn 0.000 0.000 0.170
Zn 0.000 0.000 0.330
Zn 0.000 0.000 0.670
Zn 0.000 0.000 0.830
Zn 0.333 0.667 0.092
Zn 0.333 0.667 0.408
Zn 0.667 0.333 0.592
Zn 0.667 0.333 0.908
Fe 0.333 0.667 0.250
Fe 0.667 0.333 0.750
O 0.000 0.000 0.110
O 0.000 0.000 0.250
O 0.000 0.000 0.390
O 0.000 0.000 0.610
O 0.000 0.000 0.750
O 0.000 0.000 0.890
O 0.333 0.667 0.032
O 0.333 0.667 0.189
O 0.333 0.667 0.311
O 0.333 0.667 0.468
O 0.667 0.333 0.532
O 0.667 0.333 0.689
O 0.667 0.333 0.811
O 0.667 0.333 0.968